[1]
Diffraction record for SrLa2AuO5. The X-ray powder pattern is computed, not measured: it uses the PBE geometry in Alexandria and Cu Kα, 1.54184 Å.

Most intense lines, 10 to 80 degrees two-theta, by intensity:
| 2θ/deg | I (rel.) |
| --- | --- |
| 29.72 | 100.0 |
| 29.00 | 50.3 |
| 32.50 | 34.7 |
| 41.47 | 28.4 |
| 18.21 | 26.4 |
| 36.91 | 24.9 |
| 44.10 | 24.0 |
| 47.61 | 22.6 |
| 51.86 | 21.6 |
| 60.08 | 17.6 |
| 62.13 | 15.3 |
| 68.07 | 14.9 |

Structure:
```
SrLa2AuO5
1.0
6.889 0.000 0.000
0.000 6.889 0.000
0.000 0.000 6.157
Sr La Au O
2 4 2 10
direct
0.000 0.000 0.000
0.500 0.500 0.000
0.173 0.327 0.500
0.327 0.827 0.500
0.673 0.173 0.500
0.827 0.673 0.500
0.000 0.500 0.000
0.500 0.000 0.000
0.000 0.000 0.500
0.153 0.653 0.249
0.153 0.653 0.751
0.347 0.153 0.249
0.347 0.153 0.751
0.500 0.500 0.500
0.653 0.847 0.249
0.653 0.847 0.751
0.847 0.347 0.249
0.847 0.347 0.751
```

[2]
Diffraction record for La2Te2AuO2. The X-ray powder pattern is computed, not measured: it uses the PBE geometry in Alexandria and Cu Kα, 1.54184 Å.

Most intense lines, 10 to 80 degrees two-theta, by intensity:
| 2θ/deg | I (rel.) |
| --- | --- |
| 26.13 | 100.0 |
| 44.37 | 38.7 |
| 37.75 | 36.1 |
| 57.56 | 30.1 |
| 25.18 | 26.3 |
| 34.76 | 21.7 |
| 28.79 | 20.4 |
| 43.41 | 18.9 |
| 70.90 | 17.3 |
| 49.61 | 16.6 |
| 52.22 | 14.9 |
| 32.79 | 10.2 |

Structure:
```
La2Te2AuO2
1.0
4.083 0.000 0.000
-2.042 3.536 0.000
0.000 0.000 12.904
La Te Au O
2 2 1 2
direct
0.333 0.667 0.119
0.667 0.333 0.881
0.000 0.000 0.301
0.000 0.000 0.699
0.000 0.000 0.500
0.333 0.667 0.929
0.667 0.333 0.071
```

[3]
Diffraction record for LaYAu2O8. The X-ray powder pattern is computed, not measured: it uses the PBE geometry in Alexandria and Cu Kα, 1.54184 Å.

Most intense lines, 10 to 80 degrees two-theta, by intensity:
| 2θ/deg | I (rel.) |
| --- | --- |
| 28.15 | 100.0 |
| 54.40 | 43.4 |
| 31.76 | 38.1 |
| 47.42 | 26.6 |
| 34.27 | 21.7 |
| 57.69 | 15.5 |
| 45.54 | 15.5 |
| 58.21 | 15.1 |
| 76.41 | 14.0 |
| 17.88 | 11.4 |
| 75.46 | 7.7 |
| 30.13 | 7.4 |

Structure:
```
LaYAu2O8
1.0
-2.817 2.817 5.233
2.817 -2.817 5.233
2.817 2.817 -5.233
La Y Au O
1 1 2 8
direct
0.000 0.000 0.000
0.750 0.250 0.500
0.250 0.750 0.500
0.500 0.500 0.000
0.083 0.036 0.692
0.126 0.354 0.565
0.344 0.391 0.308
0.438 0.874 0.228
0.609 0.917 0.954
0.646 0.210 0.772
0.790 0.562 0.435
0.964 0.656 0.046
```